For Tb2Pr9Dy3, a cell relaxed with PBE gives the simulated powder X-ray diffraction pattern in this record (Cu Kα (λ = 1.5418 Å)).
Kinematic intensities with the Lorentz-polarization factor, no thermal factor.

Top 10 peaks for 15° ≤ 2θ ≤ 90°, in order of rising 2θ:
25.43°, I 26, hkl 0 0 4
29.56°, I 42, hkl 2 0 3
30.50°, I 84, hkl 2 1 1
32.18°, I 24, hkl 1 1 4
32.49°, I 100, hkl 2 1 2
33.94°, I 27, hkl 1 0 5
35.59°, I 26, hkl 2 1 3
52.92°, I 52, hkl 1 4 0
59.60°, I 18, hkl 1 4 4
60.70°, I 11, hkl 2 3 5

Cell and atoms:
Cell: 9.1562 9.1562 14.0079 Å, 90.00 90.00 120.00°
Space group P6_3/m (No. 176)
Unique sites:
Tb: 0.3333 0.6667 0.1428
Pr: 0.0792 0.4809 0.7500
Pr: 0.1317 0.7260 0.5401
Dy: 0.0780 0.2496 0.2500